(1)
Structure and computed powder diffractogram of TaCo (DFT lattice parameters and positions (PBE); CuKα).
Kinematic intensities with the Lorentz-polarization factor, no thermal factor.

Principal peaks in the range 10 to 90 degrees two-theta, in order of rising 2θ:
2θ (°), intensity
36.49, 1000
40.40, 509
42.13, 756
42.53, 172
43.51, 321
65.68, 185
68.32, 213
69.54, 170
75.93, 242
77.54, 234

Cell and atoms:
Lattice parameters (Å, degrees): 4.9246 4.9246 52.4138 90.00 90.00 120.00
Space group R-3m (No. 166, hexagonal axes)
Inequivalent atoms, fractional coordinates:
Ta 0.0000 0.0000 0.0000 (multiplicity 3)
Ta 0.0000 0.0000 0.0831 (multiplicity 6)
Ta 0.0000 0.0000 0.1708 (multiplicity 6)
Ta 0.0000 0.0000 0.2236 (multiplicity 6)
Ta 0.0000 0.0000 0.2746 (multiplicity 6)
Ta 0.0000 0.0000 0.3268 (multiplicity 6)
Ta 0.0000 0.0000 0.4186 (multiplicity 6)
Co 0.0000 0.0000 0.5000 (multiplicity 3)
Co 0.0037 0.5019 0.2046 (multiplicity 18)
Co 0.0078 0.5039 0.2933 (multiplicity 18)

(2)
Structure and computed powder diffractogram of Te4Mo3WSe2S2 (DFT lattice parameters and positions (PBE); CuKα).
Kinematic intensities with the Lorentz-polarization factor, no thermal factor.

Principal peaks in the range 10 to 90 degrees two-theta, in order of rising 2θ:
2θ (°), intensity
11.43, 930
30.38, 504
35.70, 1000
38.42, 222
39.93, 157
43.22, 539
44.99, 143
53.95, 337
66.39, 159
76.20, 161

Cell and atoms:
Lattice parameters (Å, degrees): 3.3992 3.3992 38.7008 90.00 90.00 120.00
Space group P3m1 (No. 156)
Inequivalent atoms, fractional coordinates:
Te 0.0000 0.0000 0.0000 (multiplicity 1)
Te 0.0000 0.0000 0.0968 (multiplicity 1)
Te 0.0000 0.0000 0.3754 (multiplicity 1)
Te 0.0000 0.0000 0.4728 (multiplicity 1)
Mo 0.0000 0.0000 0.2362 (multiplicity 1)
Mo 0.0000 0.0000 0.8605 (multiplicity 1)
Mo 0.3333 0.6667 0.0484 (multiplicity 1)
W 0.3333 0.6667 0.4241 (multiplicity 1)
Se 0.3333 0.6667 0.8179 (multiplicity 1)
Se 0.3333 0.6667 0.9031 (multiplicity 1)
S 0.3333 0.6667 0.1974 (multiplicity 1)
S 0.3333 0.6667 0.2751 (multiplicity 1)

(3)
Structure and computed powder diffractogram of AgBiO2 (DFT lattice parameters and positions (PBE); CuKα).
Kinematic intensities with the Lorentz-polarization factor, no thermal factor.

Principal peaks in the range 10 to 90 degrees two-theta, in order of rising 2θ:
2θ (°), intensity
13.73, 201
27.66, 311
27.96, 176
28.82, 248
31.27, 1000
39.74, 210
49.47, 261
51.24, 300
57.62, 250
59.70, 164

Cell and atoms:
Lattice parameters (Å, degrees): 3.6848 3.6848 12.8986 90.00 90.00 120.00
Space group P6_3/mmc (No. 194)
Inequivalent atoms, fractional coordinates:
Ag 0.3333 0.6667 0.2500 (multiplicity 2)
Bi 0.0000 0.0000 0.0000 (multiplicity 2)
O 0.3333 0.6667 0.0879 (multiplicity 4)

(4)
Structure and computed powder diffractogram of Zn3Cu2H14S2O18 (DFT lattice parameters and positions (PBE); CuKα).
Kinematic intensities with the Lorentz-polarization factor, no thermal factor.

Principal peaks in the range 10 to 90 degrees two-theta, in order of rising 2θ:
2θ (°), intensity
16.72, 1000
18.33, 190
25.21, 288
32.26, 170
32.44, 270
33.91, 161
35.53, 258
37.01, 170
37.80, 251
45.78, 205

Cell and atoms:
Lattice parameters (Å, degrees): 5.4533 6.4429 10.6301 94.52 90.23 90.35
Space group P-1 (No. 2)
Inequivalent atoms, fractional coordinates:
Zn 0.0000 0.0000 0.0000 (multiplicity 1)
Zn 0.4918 0.7498 0.4996 (multiplicity 2)
Cu 0.0000 0.0000 0.5000 (multiplicity 1)
Cu 0.0000 0.5000 0.5000 (multiplicity 1)
H 0.1180 0.7773 0.6764 (multiplicity 2)
H 0.1982 0.3274 0.1434 (multiplicity 2)
H 0.2215 0.6548 0.9304 (multiplicity 2)
H 0.3054 0.9938 0.3201 (multiplicity 2)
H 0.3108 0.4915 0.3227 (multiplicity 2)
H 0.3548 0.7314 0.0627 (multiplicity 2)
H 0.4206 0.1902 0.0897 (multiplicity 2)
S 0.2272 0.3002 0.7809 (multiplicity 2)
O 0.0694 0.4778 0.8284 (multiplicity 2)
O 0.1388 0.7632 0.5852 (multiplicity 2)
O 0.1398 0.1019 0.8291 (multiplicity 2)
O 0.2109 0.2742 0.6393 (multiplicity 2)
O 0.2512 0.1829 0.1242 (multiplicity 2)
O 0.2892 0.7796 0.9814 (multiplicity 2)
O 0.3166 0.4828 0.4138 (multiplicity 2)
O 0.3189 0.9985 0.4118 (multiplicity 2)
O 0.4871 0.3456 0.8177 (multiplicity 2)

(5)
Structure and computed powder diffractogram of MgAl4Tl4O12 (DFT lattice parameters and positions (PBE); CuKα).
Kinematic intensities with the Lorentz-polarization factor, no thermal factor.

Principal peaks in the range 10 to 90 degrees two-theta, in order of rising 2θ:
2θ (°), intensity
18.81, 731
22.52, 847
26.06, 528
29.51, 1000
31.47, 514
31.95, 357
34.71, 858
39.05, 583
45.98, 320
53.61, 365

Cell and atoms:
Lattice parameters (Å, degrees): 5.6842 7.8949 5.9821 90.00 108.14 90.00
Space group Pm (No. 6)
Inequivalent atoms, fractional coordinates:
Mg 0.0000 0.0000 0.0000 (multiplicity 1)
Al 0.2350 0.2643 0.2862 (multiplicity 2)
Al 0.8272 0.2806 0.6990 (multiplicity 2)
Tl 0.3030 0.5000 0.7154 (multiplicity 1)
Tl 0.3543 0.0000 0.6898 (multiplicity 1)
Tl 0.6774 0.0000 0.2550 (multiplicity 1)
Tl 0.7326 0.5000 0.2048 (multiplicity 1)
O 0.0800 0.2357 0.9784 (multiplicity 2)
O 0.0940 0.2184 0.5267 (multiplicity 2)
O 0.1559 0.5000 0.2946 (multiplicity 1)
O 0.2856 0.0000 0.2919 (multiplicity 1)
O 0.5707 0.2926 0.3981 (multiplicity 2)
O 0.6011 0.3160 0.8755 (multiplicity 2)
O 0.7477 0.0000 0.6856 (multiplicity 1)
O 0.9129 0.5000 0.6662 (multiplicity 1)

(6)
Structure and computed powder diffractogram of GeN2OF6 (DFT lattice parameters and positions (PBE); CuKα).
Kinematic intensities with the Lorentz-polarization factor, no thermal factor.

Principal peaks in the range 10 to 90 degrees two-theta, in order of rising 2θ:
2θ (°), intensity
18.75, 984
21.68, 1000
30.85, 512
36.35, 260
44.19, 637
49.74, 351
58.50, 213
64.28, 310
67.61, 166
68.70, 151

Cell and atoms:
Lattice parameters (Å, degrees): 8.1976 8.1976 8.1976 90.00 90.00 90.00
Space group Fm-3m (No. 225)
Inequivalent atoms, fractional coordinates:
Ge 0.0000 0.0000 0.0000 (multiplicity 4)
N 0.2500 0.2500 0.2500 (multiplicity 8)
O 0.0000 0.0000 0.5000 (multiplicity 4)
F 0.0000 0.0000 0.2243 (multiplicity 24)

(7)
Structure and computed powder diffractogram of ErB2Os (DFT lattice parameters and positions (PBE); CuKα).
Kinematic intensities with the Lorentz-polarization factor, no thermal factor.

Principal peaks in the range 10 to 90 degrees two-theta, in order of rising 2θ:
2θ (°), intensity
28.11, 314
32.05, 223
33.80, 669
34.91, 274
36.36, 821
37.76, 1000
44.52, 230
48.86, 194
63.13, 407
75.19, 270

Cell and atoms:
Lattice parameters (Å, degrees): 5.8760 5.3036 6.3481 90.00 90.00 90.00
Space group Pnma (No. 62)
Inequivalent atoms, fractional coordinates:
Er 0.0103 0.2500 0.1657 (multiplicity 4)
B 0.1383 0.5825 0.4624 (multiplicity 8)
Os 0.1765 0.2500 0.6808 (multiplicity 4)

(8)
Structure and computed powder diffractogram of Na8PtO6 (DFT lattice parameters and positions (PBE); CuKα).
Kinematic intensities with the Lorentz-polarization factor, no thermal factor.

Principal peaks in the range 10 to 90 degrees two-theta, in order of rising 2θ:
2θ (°), intensity
12.75, 1000
18.07, 406
19.71, 267
23.55, 167
28.75, 290
34.93, 120
35.05, 121
35.22, 240
40.05, 166
41.12, 306

Cell and atoms:
Lattice parameters (Å, degrees): 4.5033 6.9365 6.9489 90.07 90.59 90.01
Space group P1 (No. 1)
Inequivalent atoms, fractional coordinates:
Na 0.0000 0.0000 0.0000 (multiplicity 1)
Na 0.0001 0.4421 0.1092 (multiplicity 1)
Na 0.5236 0.4855 0.4134 (multiplicity 1)
Na 0.5250 0.8546 0.6228 (multiplicity 1)
Na 0.5272 0.0635 0.2529 (multiplicity 1)
Na 0.5296 0.6946 0.0440 (multiplicity 1)
Na 0.9962 0.1003 0.5511 (multiplicity 1)
Na 0.9985 0.5552 0.6615 (multiplicity 1)
Pt 0.4934 0.2746 0.8318 (multiplicity 1)
O 0.4916 0.1802 0.5494 (multiplicity 1)
O 0.4959 0.5560 0.7393 (multiplicity 1)
O 0.4956 0.9928 0.9270 (multiplicity 1)
O 0.4979 0.3689 0.1150 (multiplicity 1)
O 0.8525 0.7766 0.3416 (multiplicity 1)
O 0.9959 0.2752 0.8282 (multiplicity 1)